1.
This entry pairs a crystal structure of CeZn3P3 with its calculated powder X-ray diffraction pattern. Radiation: Cu Kα, 1.54184 Å. Structure: a DFT-relaxed cell (GGA-PBE, the Materials Project).
Lines closer than 0.1° are merged.

Cell and atoms:
Unit cell a=4.0471 b=4.0471 c=19.9231 alpha=90.00 beta=90.00 gamma=120.00
Element x y z (fractional)
Ce 0.0000 0.0000 0.0000
Ce 0.0000 0.0000 0.5000
Zn 0.3333 0.6667 0.1288
Zn 0.3333 0.6667 0.3712
Zn 0.3333 0.6667 0.7500
Zn 0.6667 0.3333 0.2500
Zn 0.6667 0.3333 0.6288
Zn 0.6667 0.3333 0.8712
P 0.3333 0.6667 0.2500
P 0.3333 0.6667 0.5863
P 0.3333 0.6667 0.9137
P 0.6667 0.3333 0.0863
P 0.6667 0.3333 0.4137
P 0.6667 0.3333 0.7500

Principal peaks in the range 15 to 90 degrees two-theta, sorted by position:
- 2θ = 27.0°, I 100
- 2θ = 31.2°, I 66
- 2θ = 34.1°, I 41
- 2θ = 36.1°, I 31
- 2θ = 37.3°, I 58
- 2θ = 44.8°, I 76
- 2θ = 52.9°, I 17
- 2θ = 53.1°, I 15
- 2θ = 55.6°, I 13
- 2θ = 58.8°, I 43
- 2θ = 59.7°, I 14
- 2θ = 77.6°, I 13

***

2.
This entry pairs a crystal structure of Sr3In3N5 with its calculated powder X-ray diffraction pattern. Radiation: Cu Kα, 1.54184 Å. Structure: a DFT-relaxed cell (GGA-PBE, the Materials Project).
Lines closer than 0.1° are merged.

Cell and atoms:
Unit cell a=6.5364 b=7.5440 c=9.2071 alpha=106.28 beta=107.57 gamma=95.16
Element x y z (fractional)
Sr 0.1529 0.1315 0.1924
Sr 0.1717 0.3667 0.8874
Sr 0.3062 0.9210 0.6006
Sr 0.6938 0.0790 0.3994
Sr 0.8283 0.6333 0.1126
Sr 0.8471 0.8685 0.8076
In 0.2243 0.4483 0.5616
In 0.3486 0.6451 0.2807
In 0.3991 0.8088 0.9649
In 0.6009 0.1912 0.0351
In 0.6514 0.3549 0.7193
In 0.7757 0.5517 0.4384
N 0.0917 0.5907 0.3864
N 0.1814 0.7404 0.0835
N 0.2552 0.0305 0.8767
N 0.3631 0.1944 0.4978
N 0.4893 0.5918 0.7958
N 0.5107 0.4082 0.2042
N 0.6369 0.8056 0.5022
N 0.7448 0.9695 0.1233
N 0.8186 0.2596 0.9165
N 0.9083 0.4093 0.6136

Principal peaks in the range 15 to 90 degrees two-theta, sorted by position:
- 2θ = 28.3°, I 26
- 2θ = 29.2°, I 25
- 2θ = 29.3°, I 20
- 2θ = 29.5°, I 49
- 2θ = 29.7°, I 91
- 2θ = 30.4°, I 91
- 2θ = 30.6°, I 100
- 2θ = 36.0°, I 19
- 2θ = 37.7°, I 40
- 2θ = 40.0°, I 23
- 2θ = 40.1°, I 38
- 2θ = 47.8°, I 21

***

3.
This entry pairs a crystal structure of ZnFe4S8 with its calculated powder X-ray diffraction pattern. Radiation: Cu Kα, 1.54184 Å. Structure: a DFT-relaxed cell (GGA-PBE, the Materials Project).
Lines closer than 0.1° are merged.

Cell and atoms:
Unit cell a=7.2846 b=7.2846 c=7.2846 alpha=53.69 beta=53.69 gamma=53.69
Element x y z (fractional)
Zn 0.0000 0.0000 0.0000
Fe 0.0000 0.0000 0.5000
Fe 0.0000 0.5000 0.0000
Fe 0.5000 0.0000 0.0000
Fe 0.5000 0.5000 0.5000
S 0.2284 0.7427 0.7427
S 0.2365 0.2365 0.2365
S 0.2573 0.2573 0.7716
S 0.2573 0.7716 0.2573
S 0.7427 0.2284 0.7427
S 0.7427 0.7427 0.2284
S 0.7635 0.7635 0.7635
S 0.7716 0.2573 0.2573

Principal peaks in the range 15 to 90 degrees two-theta, sorted by position:
- 2θ = 16.3°, I 16
- 2θ = 18.2°, I 10
- 2θ = 31.8°, I 10
- 2θ = 37.0°, I 100
- 2θ = 46.7°, I 14
- 2θ = 50.6°, I 33
- 2θ = 55.9°, I 28
- 2θ = 58.0°, I 8
- 2θ = 63.9°, I 8
- 2θ = 68.9°, I 14
- 2θ = 78.7°, I 8
- 2θ = 86.1°, I 10

***

4.
This entry pairs a crystal structure of Pr4Si3S12 with its calculated powder X-ray diffraction pattern. Radiation: Cu Kα, 1.54184 Å. Structure: a DFT-relaxed cell (GGA-PBE, the Materials Project).
Lines closer than 0.1° are merged.

Cell and atoms:
Unit cell a=11.4817 b=11.4817 c=11.4817 alpha=114.73 beta=114.73 gamma=114.73
Element x y z (fractional)
Pr 0.0000 0.0000 0.0000
Pr 0.0258 0.5660 0.7912
Pr 0.0660 0.5258 0.2912
Pr 0.2912 0.0660 0.5258
Pr 0.5000 0.5000 0.5000
Pr 0.5258 0.2912 0.0660
Pr 0.5660 0.7912 0.0258
Pr 0.7912 0.0258 0.5660
Si 0.0308 0.8582 0.6452
Si 0.1452 0.3582 0.5308
Si 0.3582 0.5308 0.1452
Si 0.5308 0.1452 0.3582
Si 0.6452 0.0308 0.8582
Si 0.8582 0.6452 0.0308
S 0.1045 0.7128 0.1786
S 0.1247 0.3105 0.3161
S 0.1514 0.4201 0.8844
S 0.1786 0.1045 0.7128
S 0.1962 0.9111 0.8764
S 0.2128 0.6045 0.6786
S 0.3105 0.3161 0.1247
S 0.3161 0.1247 0.3105
S 0.3764 0.4111 0.6962
S 0.3844 0.9201 0.6514
S 0.4111 0.6962 0.3764
S 0.4201 0.8844 0.1514
S 0.6045 0.6786 0.2128
S 0.6247 0.8161 0.8105
S 0.6514 0.3844 0.9201
S 0.6786 0.2128 0.6045
S 0.6962 0.3764 0.4111
S 0.7128 0.1786 0.1045
S 0.8105 0.6247 0.8161
S 0.8161 0.8105 0.6247
S 0.8764 0.1962 0.9111
S 0.8844 0.1514 0.4201
S 0.9111 0.8764 0.1962
S 0.9201 0.6514 0.3844

Principal peaks in the range 15 to 90 degrees two-theta, sorted by position:
- 2θ = 17.8°, I 70
- 2θ = 24.4°, I 100
- 2θ = 25.7°, I 22
- 2θ = 26.3°, I 44
- 2θ = 32.2°, I 52
- 2θ = 34.7°, I 31
- 2θ = 34.9°, I 23
- 2θ = 36.1°, I 28
- 2θ = 36.9°, I 38
- 2θ = 37.2°, I 42
- 2θ = 41.9°, I 23
- 2θ = 48.0°, I 25

***

5.
This entry pairs a crystal structure of CeNi2Ge2 with its calculated powder X-ray diffraction pattern. Radiation: Cu Kα, 1.54184 Å. Structure: a DFT-relaxed cell (GGA-PBE, the Materials Project).
Lines closer than 0.1° are merged.

Cell and atoms:
Unit cell a=5.6876 b=5.6876 c=5.6876 alpha=137.36 beta=137.36 gamma=61.89
Element x y z (fractional)
Ce 0.0000 0.0000 0.0000
Ni 0.2500 0.7500 0.5000
Ni 0.7500 0.2500 0.5000
Ge 0.3699 0.3699 0.0000
Ge 0.6301 0.6301 0.0000

Principal peaks in the range 15 to 90 degrees two-theta, sorted by position:
- 2θ = 30.6°, I 28
- 2θ = 35.1°, I 100
- 2θ = 35.8°, I 98
- 2θ = 43.8°, I 72
- 2θ = 48.6°, I 12
- 2θ = 51.8°, I 26
- 2θ = 57.3°, I 48
- 2θ = 63.6°, I 23
- 2θ = 65.7°, I 21
- 2θ = 70.1°, I 21
- 2θ = 74.8°, I 11
- 2θ = 75.2°, I 21

***

6.
This entry pairs a crystal structure of CaAl2H4Pb2O4F6 with its calculated powder X-ray diffraction pattern. Radiation: Cu Kα, 1.54184 Å. Structure: a DFT-relaxed cell (GGA-PBE, the Materials Project).
Lines closer than 0.1° are merged.

Cell and atoms:
Unit cell a=6.1506 b=6.2526 c=7.6100 alpha=66.33 beta=80.87 gamma=72.84
Element x y z (fractional)
Ca 0.0000 0.0000 0.0000
Al 0.3371 0.0100 0.2614
Al 0.5763 0.8913 0.9234
H 0.3412 0.1131 0.6400
H 0.3875 0.6127 0.2083
H 0.5193 0.2774 0.9882
H 0.5389 0.7705 0.5641
Pb 0.1034 0.5720 0.6816
Pb 0.8228 0.4030 0.4412
O 0.3313 0.1038 0.7728
O 0.3624 0.7840 0.1265
O 0.5079 0.7465 0.4519
O 0.5719 0.1043 0.0629
F 0.0677 0.9238 0.3734
F 0.1338 0.2452 0.0741
F 0.3152 0.2213 0.3702
F 0.6316 0.6629 0.8251
F 0.7959 0.0337 0.7567
F 0.8255 0.6991 0.0852

Principal peaks in the range 15 to 90 degrees two-theta, sorted by position:
- 2θ = 15.1°, I 67
- 2θ = 16.0°, I 44
- 2θ = 18.8°, I 60
- 2θ = 20.2°, I 63
- 2θ = 24.0°, I 100
- 2θ = 25.3°, I 84
- 2θ = 26.0°, I 75
- 2θ = 29.3°, I 61
- 2θ = 30.2°, I 47
- 2θ = 38.8°, I 53
- 2θ = 39.3°, I 48
- 2θ = 41.1°, I 45

***

7.
This entry pairs a crystal structure of SrB6 with its calculated powder X-ray diffraction pattern. Radiation: Cu Kα, 1.54184 Å. Structure: a DFT-relaxed cell (GGA-PBE, the Materials Project).
Lines closer than 0.1° are merged.

Cell and atoms:
Unit cell a=4.2003 b=4.2003 c=4.2003 alpha=90.00 beta=90.00 gamma=90.00
Element x y z (fractional)
Sr 0.0000 0.0000 0.0000
B 0.2032 0.5000 0.5000
B 0.5000 0.2032 0.5000
B 0.5000 0.5000 0.2032
B 0.5000 0.5000 0.7968
B 0.5000 0.7968 0.5000
B 0.7968 0.5000 0.5000

Principal peaks in the range 15 to 90 degrees two-theta, sorted by position:
- 2θ = 21.2°, I 39
- 2θ = 30.1°, I 100
- 2θ = 37.1°, I 43
- 2θ = 43.1°, I 23
- 2θ = 48.5°, I 46
- 2θ = 53.4°, I 20
- 2θ = 62.5°, I 8
- 2θ = 66.8°, I 30
- 2θ = 71.0°, I 21
- 2θ = 75.0°, I 12
- 2θ = 82.9°, I 7
- 2θ = 86.7°, I 15

***

8.
This entry pairs a crystal structure of CaAl2H4Pb2O4F6 with its calculated powder X-ray diffraction pattern. Radiation: Cu Kα, 1.54184 Å. Structure: a DFT-relaxed cell (GGA-PBE, the Materials Project).
Lines closer than 0.1° are merged.

Cell and atoms:
Unit cell a=5.4155 b=6.5224 c=7.7173 alpha=65.83 beta=85.18 gamma=76.94
Element x y z (fractional)
Ca 0.0000 0.0000 0.0000
Al 0.1705 0.3174 0.1532
Al 0.8295 0.6826 0.8468
H 0.0695 0.7552 0.5617
H 0.2936 0.6545 0.8981
H 0.7064 0.3455 0.1019
H 0.9305 0.2448 0.4383
Pb 0.3422 0.3041 0.6053
Pb 0.6578 0.6959 0.3947
O 0.0012 0.6210 0.6440
O 0.1454 0.6341 0.9845
O 0.8546 0.3659 0.0155
O 0.9988 0.3790 0.3560
F 0.1515 0.0061 0.2784
F 0.3295 0.2238 0.9689
F 0.4720 0.2817 0.2562
F 0.5280 0.7183 0.7438
F 0.6705 0.7762 0.0311
F 0.8485 0.9939 0.7216

Principal peaks in the range 15 to 90 degrees two-theta, sorted by position:
- 2θ = 15.4°, I 64
- 2θ = 20.2°, I 44
- 2θ = 21.1°, I 57
- 2θ = 23.7°, I 60
- 2θ = 25.1°, I 100
- 2θ = 26.9°, I 45
- 2θ = 29.4°, I 25
- 2θ = 30.4°, I 22
- 2θ = 30.7°, I 47
- 2θ = 31.9°, I 41
- 2θ = 34.2°, I 29
- 2θ = 39.2°, I 27